Record 1
This entry pairs a crystal structure of TeMoSe with its simulated powder XRD pattern. Radiation: a wavelength of 1.5418 Å. Structure: the PBE geometry in the Materials Project.
Lines closer than 0.1° are merged.

Structural model:
Cell: 3.4406 3.4406 39.0726 Å, 90.00 90.00 120.00°
Atoms (fractional coordinates):
Te1 0.0000 0.0000 0.0000
Te2 0.0000 0.0000 0.0950
Te3 0.3333 0.6667 0.8121
Te4 0.3333 0.6667 0.9071
Mo1 0.0000 0.0000 0.4839
Mo2 0.0000 0.0000 0.8596
Mo3 0.3333 0.6667 0.0475
Mo4 0.3333 0.6667 0.6717
Se1 0.0000 0.0000 0.6299
Se2 0.0000 0.0000 0.7136
Se3 0.3333 0.6667 0.4420
Se4 0.3333 0.6667 0.5257

Principal peaks in the range 2θ from 10° to 80°, by intensity:
2theta	I/Imax	index
35.3	100	0 1 8
11.3	90	0 0 5
42.7	67	1 0 13
30.0	57	1 0 0
53.3	42	1 1 0
44.5	20	0 1 14
75.2	20	1 1 21
65.5	16	2 0 8
70.6	15	0 2 13
36.6	15	0 1 9


Record 2
This entry pairs a crystal structure of TeMoSe with its simulated powder XRD pattern. Radiation: a wavelength of 1.5418 Å. Structure: the PBE geometry in the Materials Project.
Lines closer than 0.1° are merged.

Structural model:
Cell: 3.4406 3.4406 39.0522 Å, 90.00 90.00 120.00°
Atoms (fractional coordinates):
Te1 0.0000 0.0000 0.0000
Te2 0.0000 0.0000 0.0950
Te3 0.0000 0.0000 0.3757
Te4 0.0000 0.0000 0.4708
Mo1 0.0000 0.0000 0.2354
Mo2 0.0000 0.0000 0.8596
Mo3 0.3333 0.6667 0.0475
Mo4 0.3333 0.6667 0.4232
Se1 0.3333 0.6667 0.1935
Se2 0.3333 0.6667 0.2773
Se3 0.3333 0.6667 0.8178
Se4 0.3333 0.6667 0.9015

Principal peaks in the range 2θ from 10° to 80°, by intensity:
2theta	I/Imax	index
35.3	100	1 0 8
11.3	88	0 0 5
42.7	65	1 0 13
30.0	57	1 0 0
53.3	41	1 1 0
44.5	20	0 1 14
75.2	18	1 1 21
65.5	16	2 0 8
70.6	14	0 2 13
38.0	13	0 1 10


Record 3
This entry pairs a crystal structure of TeMoSe with its simulated powder XRD pattern. Radiation: a wavelength of 1.5418 Å. Structure: the PBE geometry in the Materials Project.
Lines closer than 0.1° are merged.

Structural model:
Cell: 3.4407 3.4407 39.0747 Å, 90.00 90.00 120.00°
Atoms (fractional coordinates):
Te1 0.3333 0.6667 0.3586
Te2 0.3333 0.6667 0.4535
Te3 0.6667 0.3333 0.5465
Te4 0.6667 0.3333 0.6414
Mo1 0.3333 0.6667 0.2182
Mo2 0.3333 0.6667 0.5940
Mo3 0.6667 0.3333 0.4060
Mo4 0.6667 0.3333 0.7818
Se1 0.3333 0.6667 0.7399
Se2 0.3333 0.6667 0.8237
Se3 0.6667 0.3333 0.1763
Se4 0.6667 0.3333 0.2601

Principal peaks in the range 2θ from 10° to 80°, by intensity:
2theta	I/Imax	index
35.3	100	1 0 8
11.3	89	0 0 5
42.7	67	1 0 13
30.0	58	1 0 0
53.3	45	1 1 0
36.6	21	1 0 9
75.2	20	1 1 21
44.5	20	0 1 14
65.5	16	0 2 8
70.6	15	0 2 13


Record 4
This entry pairs a crystal structure of TeMoSe with its simulated powder XRD pattern. Radiation: a wavelength of 1.5418 Å. Structure: the PBE geometry in the Materials Project.
Lines closer than 0.1° are merged.

Structural model:
Cell: 3.4406 3.4406 39.0368 Å, 90.00 90.00 120.00°
Atoms (fractional coordinates):
Te1 0.3333 0.6667 0.2343
Te2 0.3333 0.6667 0.3293
Te3 0.6667 0.3333 0.6707
Te4 0.6667 0.3333 0.7657
Mo1 0.3333 0.6667 0.0939
Mo2 0.3333 0.6667 0.7182
Mo3 0.6667 0.3333 0.2818
Mo4 0.6667 0.3333 0.9061
Se1 0.3333 0.6667 0.8642
Se2 0.3333 0.6667 0.9480
Se3 0.6667 0.3333 0.0520
Se4 0.6667 0.3333 0.1358

Principal peaks in the range 2θ from 10° to 80°, by intensity:
2theta	I/Imax	index
35.3	100	0 1 8
11.3	91	0 0 5
42.8	66	1 0 13
30.0	58	1 0 0
53.3	39	1 1 0
44.5	21	0 1 14
38.0	21	0 1 10
75.3	19	1 1 21
65.5	16	2 0 8
70.6	14	0 2 13